Diffraction record for DyCd2WO6. The XRD peak list is simulated, not measured: it uses a cell relaxed with PBE+U and Cu Kα (weighted mean of Kα1 and Kα2).

Structural model:
abc: 5.6647 5.7234 9.9670
angles: 90.00 124.47 90.00
Sites, in units of the cell vectors:
Dy (0.0000, 0.0000, 0.0000)
Dy (0.0000, 0.5000, 0.5000)
Cd (0.2466, 0.0384, 0.7468)
Cd (0.2466, 0.4616, 0.2468)
Cd (0.7534, 0.5384, 0.7532)
Cd (0.7534, 0.9616, 0.2532)
W (0.5000, 0.0000, 0.5000)
W (0.5000, 0.5000, 0.0000)
O (0.1402, 0.1720, 0.4434)
O (0.1402, 0.3280, 0.9434)
O (0.2802, 0.7060, 0.4403)
O (0.2802, 0.7940, 0.9403)
O (0.3716, 0.0639, 0.2642)
O (0.3716, 0.4361, 0.7642)
O (0.6284, 0.5639, 0.2358)
O (0.6284, 0.9361, 0.7358)
O (0.7198, 0.2060, 0.0597)
O (0.7198, 0.2940, 0.5597)
O (0.8598, 0.6720, 0.0566)
O (0.8598, 0.8280, 0.5566)

Principal peaks in the range 10° ≤ 2θ ≤ 90°, sorted by position:
| hkl | 2theta | I (rel.) |
| --- | --- | --- |
| 1 1 -1 | 22.08 | 7 |
| 1 1 -3 | 31.10 | 100 |
| 0 2 0 | 31.26 | 24 |
| 2 0 -2 | 31.59 | 24 |
| 0 0 4 | 44.08 | 12 |
| 2 2 -2 | 45.03 | 21 |
| 0 2 4 | 55.03 | 11 |
| 1 3 1 | 55.53 | 18 |
| 3 1 -1 | 55.89 | 12 |
| 3 1 -5 | 56.01 | 11 |